Record 1
The following is a simulated PXRD pattern of RbHSO4. It was derived from a DFT-relaxed cell (GGA-PBE, the Materials Project), using a wavelength of 1.5418 Å.
No peak broadening, texture or thermal motion is included.

Most intense lines, 2θ from 10° to 80°, by intensity:
| two_theta | d (Å) | I/Imax | hkl |
| --- | --- | --- | --- |
| 23.21 | 3.833 | 100.0 | 2 1 0 |
| 23.52 | 3.782 | 59.2 | 2 0 -4 |
| 27.86 | 3.202 | 40.2 | 4 0 0 |
| 33.57 | 2.669 | 24.7 | 4 1 -4 |
| 26.03 | 3.423 | 21.9 | 2 1 1 |
| 32.99 | 2.715 | 19.5 | 0 1 4 |
| 22.18 | 4.009 | 17.5 | 2 1 -1 |
| 38.27 | 2.352 | 16.7 | 1 2 -1 |

Atomic structure:
```
RbHSO4
1.0
14.6972 0.0000 0.0000
0.0000 4.7832 0.0000
-7.4156 0.0000 13.1919
Rb H S O
8 8 8 32
direct
0.0000 0.0370 0.0000
0.0000 0.9630 0.5000
0.2235 0.3621 0.8383
0.2235 0.6379 0.3383
0.4973 0.1796 0.2523
0.4973 0.8204 0.7523
0.7408 0.4397 0.0709
0.7408 0.5603 0.5709
0.2638 0.0442 0.5499
0.2638 0.9558 0.0499
0.4535 0.4413 0.4438
0.4535 0.5587 0.9438
0.7452 0.1302 0.2810
0.7452 0.8698 0.7810
0.8871 0.1721 0.7131
0.8871 0.8279 0.2131
0.0036 0.1415 0.2574
0.0036 0.8585 0.7574
0.2538 0.4524 0.6066
0.2538 0.5476 0.1066
0.5119 0.0351 0.5095
0.5119 0.9649 0.0095
0.7536 0.4358 0.8381
0.7536 0.5642 0.3381
0.0575 0.0414 0.8457
0.0575 0.9586 0.3457
0.0649 0.2007 0.2071
0.0649 0.7993 0.7071
0.1467 0.4364 0.5890
0.1467 0.5636 0.0890
0.2631 0.2450 0.5289
0.2631 0.7550 0.0289
0.2790 0.2783 0.0763
0.2790 0.7217 0.5763
0.3320 0.3677 0.7094
0.3320 0.6323 0.2094
0.4352 0.2424 0.4192
0.4352 0.7576 0.9192
0.4589 0.2354 0.9734
0.4589 0.7646 0.4734
0.5164 0.1341 0.6022
0.5164 0.8659 0.1022
0.6125 0.0485 0.5107
0.6125 0.9515 0.0107
0.6625 0.3645 0.8488
0.6625 0.6355 0.3488
0.7151 0.3216 0.2537
0.7151 0.6784 0.7537
0.7849 0.2045 0.7936
0.7849 0.7955 0.2936
0.8408 0.4512 0.4313
0.8408 0.5488 0.9313
0.9052 0.0473 0.6722
0.9052 0.9527 0.1722
0.9544 0.3851 0.2739
0.9544 0.6149 0.7739
```



Record 2
The following is a simulated PXRD pattern of Gd3AlC. It was derived from a DFT-relaxed cell (GGA-PBE, the Materials Project), using a wavelength of 1.5418 Å.
No peak broadening, texture or thermal motion is included.

Most intense lines, 2θ from 10° to 80°, by intensity:
| two_theta | d (Å) | I/Imax | hkl |
| --- | --- | --- | --- |
| 31.35 | 2.854 | 100.0 | 1 1 1 |
| 36.35 | 2.471 | 55.1 | 2 0 0 |
| 62.30 | 1.490 | 42.6 | 3 1 1 |
| 52.36 | 1.747 | 38.5 | 2 2 0 |
| 17.95 | 4.943 | 24.6 | 1 0 0 |
| 25.49 | 3.495 | 14.5 | 1 1 0 |
| 65.41 | 1.427 | 13.1 | 2 2 2 |
| 40.82 | 2.210 | 12.1 | 2 1 0 |

Atomic structure:
```
Gd3AlC
1.0
4.9426 0.0000 0.0000
0.0000 4.9426 0.0000
0.0000 0.0000 4.9426
Gd Al C
3 1 1
direct
0.0000 0.0000 0.5000
0.0000 0.5000 0.0000
0.5000 0.0000 0.0000
0.5000 0.5000 0.5000
0.0000 0.0000 0.0000
```



Record 3
The following is a simulated PXRD pattern of Te4MoW3Se2S2. It was derived from a DFT-relaxed cell (GGA-PBE, the Materials Project), using a wavelength of 1.5418 Å.
No peak broadening, texture or thermal motion is included.

Most intense lines, 2θ from 10° to 80°, by intensity:
| two_theta | d (Å) | I/Imax | hkl |
| --- | --- | --- | --- |
| 11.41 | 7.754 | 100.0 | 0 0 5 |
| 35.68 | 2.516 | 86.7 | 1 0 8 |
| 43.18 | 2.095 | 48.5 | 0 1 13 |
| 30.38 | 2.942 | 44.4 | 1 0 0 |
| 53.96 | 1.699 | 33.5 | 1 1 0 |
| 13.70 | 6.462 | 18.3 | 0 0 6 |
| 44.94 | 2.017 | 17.8 | 1 0 14 |
| 36.98 | 2.431 | 15.7 | 1 0 9 |

Atomic structure:
```
Te4MoW3Se2S2
1.0
3.3995 0.0000 0.0000
-1.6998 2.9441 0.0000
0.0000 0.0000 38.7697
Te Mo W Se S
4 1 3 2 2
direct
0.0000 0.0000 0.0000
0.0000 0.0000 0.0972
0.0000 0.0000 0.3758
0.0000 0.0000 0.4729
0.0000 0.0000 0.8608
0.0000 0.0000 0.2364
0.3333 0.6667 0.0486
0.3333 0.6667 0.4244
0.3333 0.6667 0.1938
0.3333 0.6667 0.2792
0.3333 0.6667 0.8220
0.3333 0.6667 0.8995
```